# 1
The following is a theoretical XRD peak list of KRe2BiO8. It was derived from a crystal structure in Alexandria, relaxed with GGA-PBE, using Cu Kα (λ = 1.5418 Å).
No peak broadening, texture or thermal motion is included.

Principal peaks in the range 2θ = 10–90°, sorted by position:
2θ = 20.46°, intensity 100
2θ = 28.05°, intensity 45
2θ = 30.09°, intensity 44
2θ = 41.60°, intensity 22
2θ = 48.14°, intensity 21
2θ = 52.20°, intensity 16

Atomic structure:
a = 5.939 Å, b = 5.939 Å, c = 8.098 Å
α = 90.00°, β = 90.00°, γ = 120.00°
Fractional coordinates of all 12 atoms:
K 0.000 0.000 0.000
Re 0.333 0.667 0.785
Re 0.667 0.333 0.215
Bi 0.000 0.000 0.500
O 0.168 0.338 0.710
O 0.171 0.832 0.710
O 0.333 0.667 0.002
O 0.338 0.171 0.290
O 0.662 0.829 0.710
O 0.667 0.333 0.998
O 0.829 0.168 0.290
O 0.832 0.662 0.290


# 2
The following is a theoretical XRD peak list of KBiRhO6. It was derived from a crystal structure in Alexandria, relaxed with GGA-PBE, using Cu Kα (λ = 1.5418 Å).
No peak broadening, texture or thermal motion is included.

Principal peaks in the range 2θ = 10–90°, sorted by position:
2θ = 14.75°, intensity 99
2θ = 18.62°, intensity 41
2θ = 23.84°, intensity 100
2θ = 32.55°, intensity 45
2θ = 35.90°, intensity 51
2θ = 44.67°, intensity 58

Atomic structure:
a = 5.502 Å, b = 5.502 Å, c = 6.006 Å
α = 90.00°, β = 90.00°, γ = 120.00°
Fractional coordinates of all 9 atoms:
K 0.000 0.000 0.000
Bi 0.333 0.667 0.500
Rh 0.667 0.333 0.500
O 0.397 0.029 0.691
O 0.397 0.368 0.309
O 0.632 0.029 0.309
O 0.632 0.603 0.691
O 0.971 0.368 0.691
O 0.971 0.603 0.309


# 3
The following is a theoretical XRD peak list of K3Bi3RuO8. It was derived from a crystal structure in Alexandria, relaxed with GGA-PBE, using Cu Kα (λ = 1.5418 Å).
No peak broadening, texture or thermal motion is included.

Principal peaks in the range 2θ = 10–90°, sorted by position:
2θ = 14.06°, intensity 100
2θ = 28.33°, intensity 26
2θ = 29.88°, intensity 41
2θ = 31.01°, intensity 57
2θ = 35.20°, intensity 72
2θ = 48.90°, intensity 25

Atomic structure:
a = 6.997 Å, b = 6.997 Å, c = 7.485 Å
α = 117.89°, β = 117.89°, γ = 59.92°
Fractional coordinates of all 15 atoms:
K 0.000 0.000 0.000
K 0.000 0.500 0.000
K 0.500 0.000 0.000
Bi 0.000 0.500 0.500
Bi 0.500 0.000 0.500
Bi 0.500 0.500 0.500
Ru 0.000 0.000 0.500
O 0.205 0.205 0.676
O 0.205 0.766 0.675
O 0.234 0.795 0.325
O 0.265 0.265 0.294
O 0.735 0.735 0.706
O 0.766 0.205 0.675
O 0.795 0.234 0.325
O 0.795 0.795 0.324


# 4
The following is a theoretical XRD peak list of KSrBi2O6. It was derived from a crystal structure in Alexandria, relaxed with GGA-PBE, using Cu Kα (λ = 1.5418 Å).
No peak broadening, texture or thermal motion is included.

Principal peaks in the range 2θ = 10–90°, sorted by position:
2θ = 20.35°, intensity 24
2θ = 20.94°, intensity 43
2θ = 29.36°, intensity 100
2θ = 29.79°, intensity 54
2θ = 42.63°, intensity 27
2θ = 52.61°, intensity 46

Atomic structure:
a = 6.086 Å, b = 6.086 Å, c = 6.086 Å
α = 120.95°, β = 120.95°, γ = 88.37°
Fractional coordinates of all 10 atoms:
K 0.000 0.000 0.000
Sr 0.500 0.500 0.000
Bi 0.250 0.750 0.500
Bi 0.750 0.250 0.500
O 0.000 0.500 0.500
O 0.076 0.457 0.000
O 0.457 0.076 0.000
O 0.500 0.000 0.500
O 0.543 0.543 0.619
O 0.924 0.924 0.381


# 5
The following is a theoretical XRD peak list of K3SrBi2O6. It was derived from a crystal structure in Alexandria, relaxed with GGA-PBE, using Cu Kα (λ = 1.5418 Å).
No peak broadening, texture or thermal motion is included.

Principal peaks in the range 2θ = 10–90°, sorted by position:
2θ = 14.10°, intensity 87
2θ = 28.42°, intensity 31
2θ = 28.76°, intensity 43
2θ = 29.93°, intensity 76
2θ = 34.26°, intensity 100
2θ = 50.20°, intensity 32

Atomic structure:
a = 6.295 Å, b = 6.295 Å, c = 6.625 Å
α = 99.15°, β = 99.15°, γ = 120.00°
Fractional coordinates of all 12 atoms:
K 0.000 0.000 0.000
K 0.334 0.666 0.000
K 0.666 0.334 0.000
Sr 0.500 0.500 0.500
Bi 0.167 0.833 0.500
Bi 0.833 0.167 0.500
O 0.079 0.434 0.303
O 0.211 0.211 0.698
O 0.434 0.079 0.303
O 0.566 0.921 0.697
O 0.789 0.789 0.302
O 0.921 0.566 0.697


# 6
The following is a theoretical XRD peak list of K3TbBi2O6. It was derived from a crystal structure in Alexandria, relaxed with GGA-PBE, using Cu Kα (λ = 1.5418 Å).
No peak broadening, texture or thermal motion is included.

Principal peaks in the range 2θ = 10–90°, sorted by position:
2θ = 14.08°, intensity 100
2θ = 28.37°, intensity 33
2θ = 29.16°, intensity 46
2θ = 30.32°, intensity 78
2θ = 34.60°, intensity 96
2θ = 48.47°, intensity 34

Atomic structure:
a = 6.206 Å, b = 6.206 Å, c = 6.623 Å
α = 98.99°, β = 98.99°, γ = 120.00°
Fractional coordinates of all 12 atoms:
K 0.000 0.000 0.000
K 0.331 0.669 0.000
K 0.669 0.331 0.000
Tb 0.500 0.500 0.500
Bi 0.167 0.833 0.500
Bi 0.833 0.167 0.500
O 0.114 0.434 0.303
O 0.245 0.245 0.696
O 0.434 0.114 0.303
O 0.566 0.886 0.697
O 0.755 0.755 0.304
O 0.886 0.566 0.697


# 7
The following is a theoretical XRD peak list of K2TcBiO6. It was derived from a crystal structure in Alexandria, relaxed with GGA-PBE, using Cu Kα (λ = 1.5418 Å).
No peak broadening, texture or thermal motion is included.

Principal peaks in the range 2θ = 10–90°, sorted by position:
2θ = 19.53°, intensity 33
2θ = 21.22°, intensity 59
2θ = 29.00°, intensity 100
2θ = 30.19°, intensity 47
2θ = 43.22°, intensity 30
2θ = 52.88°, intensity 36

Atomic structure:
a = 5.921 Å, b = 5.921 Å, c = 4.545 Å
α = 90.00°, β = 90.00°, γ = 90.00°
Fractional coordinates of all 10 atoms:
K 0.000 0.500 0.000
K 0.500 0.000 0.000
Tc 0.000 0.000 0.464
Bi 0.500 0.500 0.532
O 0.000 0.000 0.078
O 0.218 0.218 0.553
O 0.218 0.782 0.553
O 0.500 0.500 0.033
O 0.782 0.218 0.553
O 0.782 0.782 0.553


# 8
The following is a theoretical XRD peak list of K4TmBi3O12. It was derived from a crystal structure in Alexandria, relaxed with GGA-PBE, using Cu Kα (λ = 1.5418 Å).
No peak broadening, texture or thermal motion is included.

Principal peaks in the range 2θ = 10–90°, sorted by position:
2θ = 20.69°, intensity 71
2θ = 29.42°, intensity 100
2θ = 42.09°, intensity 32
2θ = 47.34°, intensity 34
2θ = 52.18°, intensity 42
2θ = 84.41°, intensity 22

Atomic structure:
a = 7.437 Å, b = 7.437 Å, c = 7.437 Å
α = 109.47°, β = 109.47°, γ = 109.47°
Fractional coordinates of all 20 atoms:
K 0.000 0.000 0.500
K 0.000 0.500 0.000
K 0.500 0.000 0.000
K 0.500 0.500 0.500
Tm 0.000 0.000 0.000
Bi 0.000 0.500 0.500
Bi 0.500 0.000 0.500
Bi 0.500 0.500 0.000
O 0.000 0.257 0.257
O 0.000 0.743 0.743
O 0.250 0.500 0.750
O 0.250 0.750 0.500
O 0.257 0.000 0.257
O 0.257 0.257 0.000
O 0.500 0.250 0.750
O 0.500 0.750 0.250
O 0.743 0.000 0.743
O 0.743 0.743 0.000
O 0.750 0.250 0.500
O 0.750 0.500 0.250


# 9
The following is a theoretical XRD peak list of K3Tm3BiO8. It was derived from a crystal structure in Alexandria, relaxed with GGA-PBE, using Cu Kα (λ = 1.5418 Å).
No peak broadening, texture or thermal motion is included.

Principal peaks in the range 2θ = 10–90°, sorted by position:
2θ = 13.98°, intensity 100
2θ = 28.17°, intensity 26
2θ = 30.50°, intensity 37
2θ = 31.59°, intensity 52
2θ = 35.68°, intensity 68
2θ = 49.13°, intensity 24

Atomic structure:
a = 7.469 Å, b = 7.469 Å, c = 7.469 Å
α = 54.60°, β = 54.60°, γ = 54.60°
Fractional coordinates of all 15 atoms:
K 0.000 0.500 0.500
K 0.500 0.000 0.500
K 0.500 0.500 0.000
Tm 0.000 0.000 0.500
Tm 0.000 0.500 0.000
Tm 0.500 0.000 0.000
Bi 0.500 0.500 0.500
O 0.225 0.225 0.225
O 0.227 0.727 0.727
O 0.273 0.273 0.773
O 0.273 0.773 0.273
O 0.727 0.227 0.727
O 0.727 0.727 0.227
O 0.773 0.273 0.273
O 0.775 0.775 0.775


Please write out number 5 again, unchanged.
The following is a theoretical XRD peak list of K3SrBi2O6. It was derived from a crystal structure in Alexandria, relaxed with GGA-PBE, using Cu Kα (λ = 1.5418 Å).
No peak broadening, texture or thermal motion is included.

Principal peaks in the range 2θ = 10–90°, sorted by position:
2θ = 14.10°, intensity 87
2θ = 28.42°, intensity 31
2θ = 28.76°, intensity 43
2θ = 29.93°, intensity 76
2θ = 34.26°, intensity 100
2θ = 50.20°, intensity 32

Atomic structure:
a = 6.295 Å, b = 6.295 Å, c = 6.625 Å
α = 99.15°, β = 99.15°, γ = 120.00°
Fractional coordinates of all 12 atoms:
K 0.000 0.000 0.000
K 0.334 0.666 0.000
K 0.666 0.334 0.000
Sr 0.500 0.500 0.500
Bi 0.167 0.833 0.500
Bi 0.833 0.167 0.500
O 0.079 0.434 0.303
O 0.211 0.211 0.698
O 0.434 0.079 0.303
O 0.566 0.921 0.697
O 0.789 0.789 0.302
O 0.921 0.566 0.697